Structure and theoretical XRD peak list of Dy2HoGa5 (a DFT-relaxed cell (PBE, OQMD); Cu Kα, 1.54184 Å).
Lines closer than 0.1° are merged.

Cell and atoms:
Cell: 4.765 7.333 9.753 Å, 90.00 90.00 90.00°
Positions (direct):
Dy: 0.000 0.000 0.000
Dy: 0.000 0.500 0.500
Dy: 0.500 0.000 0.319
Dy: 0.500 0.500 0.819
Ho: 0.000 0.000 0.573
Ho: 0.000 0.500 0.073
Ga: 0.000 0.220 0.279
Ga: 0.000 0.280 0.779
Ga: 0.000 0.720 0.779
Ga: 0.000 0.780 0.279
Ga: 0.500 0.000 0.798
Ga: 0.500 0.242 0.064
Ga: 0.500 0.258 0.564
Ga: 0.500 0.500 0.298
Ga: 0.500 0.742 0.564
Ga: 0.500 0.758 0.064

The 6 most intense peaks (5 to 70 degrees two-theta), low angle first:
| two_theta | Rel. int. | hkl |
| --- | --- | --- |
| 30.1 | 11.4 | 0 1 3 |
| 36.0 | 100.0 | 1 2 2 |
| 36.9 | 16.7 | 0 0 4 |
| 37.8 | 25.3 | 2 0 0 |
| 64.1 | 14.0 | 2 4 0 |
| 67.0 | 15.9 | 3 2 2 |



Structure and theoretical XRD peak list of DyHoGa6 (a DFT-relaxed cell (PBE, OQMD); Cu Kα, 1.54184 Å).
Lines closer than 0.1° are merged.

Cell and atoms:
Cell: 6.253 6.253 4.558 Å, 90.00 90.00 120.00°
Positions (direct):
Dy: 0.000 0.000 0.000
Ho: 0.333 0.667 0.500
Ga: 0.370 0.185 0.500
Ga: 0.518 0.036 0.000
Ga: 0.518 0.482 0.000
Ga: 0.815 0.185 0.500
Ga: 0.815 0.630 0.500
Ga: 0.964 0.482 0.000

The 6 most intense peaks (5 to 70 degrees two-theta), low angle first:
| two_theta | Rel. int. | hkl |
| --- | --- | --- |
| 25.5 | 24.1 | 1 0 1 |
| 33.1 | 25.3 | 2 0 0 |
| 38.7 | 100.0 | 2 0 1 |
| 39.5 | 22.1 | 0 0 2 |
| 52.5 | 13.5 | 2 0 2 |
| 59.1 | 16.8 | 2 2 0 |



Structure and theoretical XRD peak list of SmDyHo2Ga2 (a DFT-relaxed cell (PBE, OQMD); Cu Kα, 1.54184 Å).
Lines closer than 0.1° are merged.

Cell and atoms:
Cell: 5.172 5.172 6.613 Å, 90.00 90.00 120.00°
Positions (direct):
Sm: 0.000 0.000 0.000
Dy: 0.667 0.333 0.500
Ho: 0.333 0.667 0.253
Ho: 0.333 0.667 0.747
Ga: 0.000 0.000 0.500
Ga: 0.667 0.333 0.000

The 6 most intense peaks (5 to 70 degrees two-theta), low angle first:
| two_theta | Rel. int. | hkl |
| --- | --- | --- |
| 33.7 | 100.0 | 1 0 2 |
| 34.7 | 92.3 | 1 1 0 |
| 49.1 | 34.7 | 2 0 2 |
| 61.5 | 35.2 | 2 1 2 |
| 62.2 | 17.0 | 3 0 0 |
| 67.2 | 26.8 | 1 1 4 |



What is the formula in the second record? DyHoGa6



Copy entry 2 word for word.
Structure and theoretical XRD peak list of DyHoGa6 (a DFT-relaxed cell (PBE, OQMD); Cu Kα, 1.54184 Å).
Lines closer than 0.1° are merged.

Cell and atoms:
Cell: 6.253 6.253 4.558 Å, 90.00 90.00 120.00°
Positions (direct):
Dy: 0.000 0.000 0.000
Ho: 0.333 0.667 0.500
Ga: 0.370 0.185 0.500
Ga: 0.518 0.036 0.000
Ga: 0.518 0.482 0.000
Ga: 0.815 0.185 0.500
Ga: 0.815 0.630 0.500
Ga: 0.964 0.482 0.000

The 6 most intense peaks (5 to 70 degrees two-theta), low angle first:
| two_theta | Rel. int. | hkl |
| --- | --- | --- |
| 25.5 | 24.1 | 1 0 1 |
| 33.1 | 25.3 | 2 0 0 |
| 38.7 | 100.0 | 2 0 1 |
| 39.5 | 22.1 | 0 0 2 |
| 52.5 | 13.5 | 2 0 2 |
| 59.1 | 16.8 | 2 2 0 |